Starting from a cell relaxed with GGA-PBE, the PXRD pattern of Ac3Cu2Sn3 was calculated for Cu Kα, 1.54184 Å.

Top 10 peaks for 10 to 90 degrees two-theta, low angle first:
- 25.98 deg, I 44.3, hkl 1 1 3
- 29.51 deg, I 100.0, hkl 1 1 4
- 29.61 deg, I 34.9, hkl 0 4 0
- 29.94 deg, I 62.7, hkl 1 3 1
- 31.58 deg, I 42.2, hkl 0 0 6
- 36.40 deg, I 38.2, hkl 1 3 4
- 39.06 deg, I 42.1, hkl 2 0 0
- 39.84 deg, I 39.3, hkl 1 3 5
- 51.06 deg, I 25.4, hkl 2 0 6
- 57.06 deg, I 34.2, hkl 1 7 0

Structure:
```
data_Ac3Cu2Sn3
_cell_length_a 4.612
_cell_length_b 12.069
_cell_length_c 17.000
_cell_angle_alpha 90.00
_cell_angle_beta 90.00
_cell_angle_gamma 90.00
_space_group_name_H-M_alt 'C m c m'
_space_group_IT_number 63
_space_group_name_Hall '-C 2c 2'
loop_
_atom_site_label
_atom_site_type_symbol
_atom_site_fract_x
_atom_site_fract_y
_atom_site_fract_z
_atom_site_occupancy
Ac1 Ac 0.000 0.082 0.250 1
Ac2 Ac 0.000 0.364 0.097 1
Cu1 Cu 0.000 0.344 0.620 1
Sn1 Sn 0.000 0.090 0.056 1
Sn2 Sn 0.000 0.203 0.750 1
```